This entry pairs a crystal structure of DyTh8C6 with its simulated PXRD pattern. Radiation: Cu Kα (weighted mean of Kα1 and Kα2). Structure: DFT lattice parameters and positions (PBE).
Intensities are scaled so that the largest is 100.

The 10 most intense peaks (5 to 70 degrees two-theta), by angle:
2theta, d/Å, I (rel.)
28.34, 3.149, 32.5
29.48, 3.030, 100.0
33.84, 2.649, 78.0
40.18, 2.244, 5.6
47.87, 1.900, 27.8
49.34, 1.847, 28.3
56.57, 1.627, 15.5
57.88, 1.593, 28.2
58.54, 1.577, 18.8
61.17, 1.515, 14.5

```
15
Lattice="3.199 1.847 9.448 -3.199 1.847 9.448 0.000 -3.694 9.448" Properties=species:S:1:pos:R:3 pbc="T T T"
Dy 0.000 0.000 0.000
Th -2.140 0.010 12.386
Th -1.078 -1.848 15.958
Th 0.000 0.000 9.449
Th 1.061 -1.858 12.386
Th -1.061 1.858 15.958
Th 0.000 0.000 18.895
Th 1.078 1.848 12.386
Th 2.140 -0.010 15.958
C -1.059 -1.860 11.075
C -2.140 -0.013 17.269
C -1.081 1.847 11.075
C 1.081 -1.847 17.268
C 2.140 0.013 11.075
C 1.059 1.860 17.269
```

This entry pairs a crystal structure of Dy2TiC with its simulated PXRD pattern. Radiation: Cu Kα (weighted mean of Kα1 and Kα2). Structure: DFT lattice parameters and positions (PBE).
Intensities are scaled so that the largest is 100.

The 10 most intense peaks (5 to 70 degrees two-theta), by angle:
2theta, d/Å, I (rel.)
9.88, 8.951, 100.0
29.95, 2.984, 44.7
30.09, 2.970, 84.1
32.80, 2.730, 56.1
34.34, 2.612, 46.9
40.41, 2.232, 58.3
45.40, 1.997, 19.5
53.07, 1.726, 31.6
62.17, 1.493, 49.4
68.73, 1.366, 19.6

```
12
Lattice="3.451 0.000 0.000 -1.726 2.989 0.000 0.000 0.000 26.853" Properties=species:S:1:pos:R:3 pbc="T T T"
Dy 0.000 0.000 3.105
Dy 0.000 0.000 23.748
Dy 0.000 1.992 14.797
Dy 0.000 1.992 21.007
Dy 1.726 0.996 5.846
Dy 1.726 0.996 12.056
Ti 0.000 0.000 0.000
Ti 0.000 1.992 17.902
Ti 1.726 0.996 8.951
C 0.000 0.000 13.427
C 0.000 1.992 4.476
C 1.726 0.996 22.378
```

This entry pairs a crystal structure of DyTm3C8 with its simulated PXRD pattern. Radiation: Cu Kα (weighted mean of Kα1 and Kα2). Structure: DFT lattice parameters and positions (PBE).
Intensities are scaled so that the largest is 100.

The 10 most intense peaks (5 to 70 degrees two-theta), by angle:
2theta, d/Å, I (rel.)
27.05, 3.296, 100.0
29.00, 3.079, 89.7
29.87, 2.991, 92.3
37.24, 2.415, 31.3
39.98, 2.255, 25.6
48.45, 1.879, 52.8
50.14, 1.819, 44.1
53.63, 1.709, 29.8
55.78, 1.648, 17.7
62.15, 1.494, 14.4

```
12
Lattice="3.997 -4.829 0.000 3.997 4.829 0.000 -3.990 0.000 4.510" Properties=species:S:1:pos:R:3 pbc="T T T"
Dy 0.000 0.000 0.000
Tm 1.721 2.414 2.253
Tm 0.096 0.000 4.508
Tm 1.721 -2.414 2.253
C -1.837 0.000 3.033
C -0.877 2.472 4.505
C 1.139 0.000 2.274
C 2.158 0.000 1.472
C 2.053 1.592 4.508
C -0.877 -2.472 4.505
C 5.137 0.000 2.232
C 2.053 -1.592 4.508
```